[1]
Calculated powder diffraction line list
Compound: Gd2Tm3Ga3
Radiation: Cu Kα X-rays
Structure: a PBE-relaxed structure
Kinematic intensities with the Lorentz-polarization factor, no thermal factor.

Crystal structure
```
Gd2Tm3Ga3
1.0
5.4362 0.0000 0.0000
0.0000 3.5933 5.1659
0.0000 -3.5933 5.1659
Gd Tm Ga
2 3 3
Cartesian
0.0000 0.0000 0.0000
2.7181 0.0000 4.2195
0.0000 -1.8040 7.7036
0.0000 1.8040 7.7036
2.7181 0.0000 8.3652
0.0000 0.0000 5.3610
2.7181 -2.3112 6.3221
2.7181 2.3112 6.3221
```

Most intense lines, 2θ = 10–90°, sorted by position:
two_theta, I/Imax
29.81, 16
30.30, 48
32.95, 58
33.22, 33
34.60, 100
38.59, 47
45.37, 32
59.03, 12
59.91, 21
61.91, 13

[2]
Calculated powder diffraction line list
Compound: GdTm2Ga
Radiation: Cu Kα X-rays
Structure: a PBE-relaxed structure
Kinematic intensities with the Lorentz-polarization factor, no thermal factor.

Crystal structure
```
GdTm2Ga
1.0
3.3595 -5.8593 0.0000
3.3595 5.8593 0.0000
0.0000 0.0000 5.2107
Gd Tm Ga
2 4 2
Cartesian
3.3595 3.7944 3.9080
3.3595 -3.7944 1.3027
1.7606 1.0125 3.9080
1.7606 -1.0125 1.3027
4.9583 1.0125 3.9080
4.9583 -1.0125 1.3027
3.3595 1.9148 1.3027
3.3595 -1.9148 3.9080
```

Most intense lines, 2θ = 10–90°, sorted by position:
two_theta, I/Imax
22.87, 18
30.68, 25
34.42, 37
35.14, 51
35.29, 100
46.77, 15
54.34, 20
62.19, 29
65.92, 21
66.23, 18

[3]
Calculated powder diffraction line list
Compound: Gd2TmGa5
Radiation: Cu Kα X-rays
Structure: a PBE-relaxed structure
Kinematic intensities with the Lorentz-polarization factor, no thermal factor.

Crystal structure
```
Gd2TmGa5
1.0
4.7951 0.0000 0.0000
0.0000 3.3439 5.3323
0.0000 -3.3439 5.3323
Gd Tm Ga
2 1 5
Cartesian
0.0000 0.0000 0.0000
2.3975 0.0000 3.3520
2.3975 0.0000 8.4198
0.0000 -1.6077 7.8346
0.0000 0.0000 5.3392
0.0000 1.6077 7.8346
2.3975 -1.6038 5.9902
2.3975 1.6038 5.9902
```

Most intense lines, 2θ = 10–90°, sorted by position:
two_theta, I/Imax
24.97, 15
31.58, 13
33.61, 19
36.85, 100
37.51, 28
38.64, 23
51.24, 11
67.26, 17
68.42, 14
71.90, 12

[4]
Calculated powder diffraction line list
Compound: Gd2Tm5Ga
Radiation: Cu Kα X-rays
Structure: a PBE-relaxed structure
Kinematic intensities with the Lorentz-polarization factor, no thermal factor.

Crystal structure
```
Gd2Tm5Ga
1.0
5.4455 0.0000 0.0000
0.0000 3.4833 6.0520
0.0000 -3.4833 6.0520
Gd Tm Ga
2 5 1
Cartesian
0.0000 0.0000 0.0000
2.7228 0.0000 4.1597
0.0000 -1.7875 3.1211
0.0000 0.0000 6.1339
0.0000 1.7875 3.1211
2.7228 -1.6933 7.1219
2.7228 1.6933 7.1219
2.7228 0.0000 10.1236
```

Most intense lines, 2θ = 10–90°, sorted by position:
two_theta, I/Imax
29.57, 24
32.90, 24
33.93, 100
44.81, 16
52.41, 13
52.55, 7
59.40, 20
63.28, 15
63.40, 7
64.01, 11

[5]
Calculated powder diffraction line list
Compound: Gd2Tm3Ga3
Radiation: Cu Kα X-rays
Structure: a PBE-relaxed structure
Kinematic intensities with the Lorentz-polarization factor, no thermal factor.

Crystal structure
```
Gd2Tm3Ga3
1.0
6.8994 0.0000 0.0000
-3.4497 5.9751 0.0000
0.0000 0.0000 4.8944
Gd Tm Ga
2 3 3
Cartesian
0.0000 0.0000 0.0000
0.0000 3.9834 2.4472
1.8325 1.0580 2.4472
5.0669 1.0580 2.4472
3.4497 3.8591 2.4472
3.4497 0.2403 0.0000
1.9329 2.8674 0.0000
4.9665 2.8674 0.0000
```

Most intense lines, 2θ = 10–90°, sorted by position:
two_theta, I/Imax
18.12, 9
29.91, 31
35.19, 100
36.72, 20
48.06, 17
53.10, 18
65.15, 17
65.31, 14
66.30, 19
88.96, 12

[6]
Calculated powder diffraction line list
Compound: GdTmZn2Ga2
Radiation: Cu Kα X-rays
Structure: a PBE-relaxed structure
Kinematic intensities with the Lorentz-polarization factor, no thermal factor.

Crystal structure
```
GdTmZn2Ga2
1.0
4.4056 0.0000 0.0000
-2.2028 3.8153 0.0000
0.0000 0.0000 7.1509
Gd Tm Zn Ga
1 1 2 2
Cartesian
0.0000 0.0000 0.0000
0.0000 0.0000 3.5727
0.0000 2.5435 5.5734
2.2028 1.2718 2.0875
0.0000 2.5435 1.5898
2.2028 1.2718 5.0941
```

Most intense lines, 2θ = 10–90°, sorted by position:
two_theta, I/Imax
23.31, 20
34.37, 100
40.97, 56
51.09, 7
54.52, 27
56.88, 6
67.47, 17
70.40, 24
74.63, 9
88.85, 6

[7]
Calculated powder diffraction line list
Compound: Gd2Y3Ga3
Radiation: Cu Kα X-rays
Structure: a PBE-relaxed structure
Kinematic intensities with the Lorentz-polarization factor, no thermal factor.

Crystal structure
```
Gd2Y3Ga3
1.0
6.9904 0.0000 0.0000
-3.4952 6.0538 0.0000
0.0000 0.0000 4.9397
Gd Y Ga
2 3 3
Cartesian
0.0000 0.0000 0.0000
0.0000 4.0359 2.4698
1.8548 1.0709 2.4698
5.1356 1.0709 2.4698
3.4952 3.9121 2.4698
3.4952 0.2378 0.0000
1.9535 2.9080 0.0000
5.0369 2.9080 0.0000
```

Most intense lines, 2θ = 10–90°, sorted by position:
two_theta, I/Imax
23.24, 14
25.48, 6
29.51, 26
34.76, 100
36.38, 20
47.51, 14
52.35, 19
64.40, 30
65.42, 19
87.54, 17

[8]
Calculated powder diffraction line list
Compound: Gd2Y3Ga3
Radiation: Cu Kα X-rays
Structure: a PBE-relaxed structure
Kinematic intensities with the Lorentz-polarization factor, no thermal factor.

Crystal structure
```
Gd2Y3Ga3
1.0
5.5131 0.0000 0.0000
0.0000 3.7261 5.0587
0.0000 -3.7261 5.0587
Gd Y Ga
2 3 3
Cartesian
0.0000 0.0000 0.0000
2.7565 0.0000 4.1944
0.0000 -1.8538 7.5021
0.0000 1.8538 7.5021
2.7565 0.0000 8.1389
0.0000 0.0000 5.1730
2.7565 -2.4421 6.1392
2.7565 2.4421 6.1392
```

Most intense lines, 2θ = 10–90°, sorted by position:
two_theta, I/Imax
21.89, 22
29.06, 19
29.78, 67
32.48, 73
33.39, 47
34.02, 100
39.19, 49
40.83, 24
44.64, 44
58.92, 29

[9]
Calculated powder diffraction line list
Compound: Gd3Y3Ga
Radiation: Cu Kα X-rays
Structure: a PBE-relaxed structure
Kinematic intensities with the Lorentz-polarization factor, no thermal factor.

Crystal structure
```
Gd3Y3Ga
1.0
1.8427 -6.4560 0.0000
1.8427 6.4560 0.0000
0.0000 0.0000 17.7821
Gd Y Ga
6 6 2
Cartesian
1.8427 4.2653 10.2211
1.8427 4.2653 16.4520
1.8427 2.8479 13.3366
1.8427 -2.8479 4.4455
1.8427 -4.2653 1.3301
1.8427 -4.2653 7.5610
1.8427 5.2614 2.0814
1.8427 5.2614 6.8097
1.8427 0.7295 4.4455
1.8427 -0.7295 13.3366
1.8427 -5.2614 10.9724
1.8427 -5.2614 15.7007
1.8427 0.0000 0.0000
1.8427 0.0000 8.8911
```

Most intense lines, 2θ = 10–90°, sorted by position:
two_theta, I/Imax
25.63, 21
30.15, 31
31.56, 68
31.97, 28
32.34, 100
33.56, 31
34.33, 22
35.77, 39
48.38, 21
59.85, 31

[10]
Calculated powder diffraction line list
Compound: Ho4GaGe4Pd2
Radiation: Cu Kα X-rays
Structure: a PBE-relaxed structure
Kinematic intensities with the Lorentz-polarization factor, no thermal factor.

Crystal structure
```
Ho4GaGe4Pd2
1.0
7.8362 -2.1255 0.0000
7.8362 2.1255 0.0000
-2.1144 0.0000 6.7252
Ho Ga Ge Pd
4 1 4 2
Cartesian
0.5400 0.0000 2.5324
0.4683 0.0000 6.2150
13.0897 0.0000 0.5102
13.0180 0.0000 4.1928
7.8362 0.0000 0.0000
3.2537 0.0000 5.1453
6.1719 0.0000 2.2576
7.3861 0.0000 4.4676
10.3043 0.0000 1.5799
3.6253 0.0000 2.4787
9.9327 0.0000 4.2464
```

Most intense lines, 2θ = 10–90°, sorted by position:
two_theta, I/Imax
33.02, 63
34.43, 16
34.53, 41
35.90, 100
36.75, 25
40.23, 25
42.29, 18
42.53, 37
59.97, 17
62.72, 17

[11]
Calculated powder diffraction line list
Compound: SmGaGeIr2
Radiation: Cu Kα X-rays
Structure: a PBE-relaxed structure
Kinematic intensities with the Lorentz-polarization factor, no thermal factor.

Crystal structure
```
SmGaGeIr2
1.0
4.1938 0.0000 0.0000
0.0000 4.1938 0.0000
0.0000 0.0000 10.4973
Sm Ga Ge Ir
2 2 2 4
Cartesian
1.0485 1.0485 2.6157
3.1454 3.1454 7.8817
1.0485 3.1454 5.2487
3.1454 1.0485 5.2487
1.0485 1.0485 9.1409
3.1454 3.1454 1.3565
1.0485 1.0485 6.6961
1.0485 3.1454 0.0000
3.1454 1.0485 0.0000
3.1454 3.1454 3.8012
```

Most intense lines, 2θ = 10–90°, sorted by position:
two_theta, I/Imax
31.34, 22
33.35, 49
34.75, 100
43.14, 65
46.19, 31
48.49, 29
55.60, 23
62.65, 23
66.89, 22
73.68, 23

[12]
Calculated powder diffraction line list
Compound: Li2Mg2GaGePd2
Radiation: Cu Kα X-rays
Structure: a PBE-relaxed structure
Kinematic intensities with the Lorentz-polarization factor, no thermal factor.

Crystal structure
```
Li2Mg2GaGePd2
1.0
4.4269 0.0000 0.0000
0.0000 4.4269 0.0000
0.0000 0.0000 6.2576
Li Mg Ga Ge Pd
2 2 1 1 2
Cartesian
0.0000 2.2134 1.5635
2.2134 0.0000 4.6942
0.0000 0.0000 0.0000
2.2134 2.2134 3.1288
0.0000 0.0000 3.1288
2.2134 2.2134 0.0000
0.0000 2.2134 4.6944
2.2134 0.0000 1.5632
```

Most intense lines, 2θ = 10–90°, sorted by position:
two_theta, I/Imax
24.63, 73
28.52, 1
40.77, 100
48.22, 35
59.03, 16
64.94, 14
74.22, 33
79.58, 10
88.32, 10

[13]
Calculated powder diffraction line list
Compound: Li2Nb2GaGeOs2
Radiation: Cu Kα X-rays
Structure: a PBE-relaxed structure
Kinematic intensities with the Lorentz-polarization factor, no thermal factor.

Crystal structure
```
Li2Nb2GaGeOs2
1.0
4.3572 0.0000 0.0000
0.0000 4.3572 0.0000
0.0000 0.0000 6.1575
Li Nb Ga Ge Os
2 2 1 1 2
Cartesian
0.0000 2.1786 1.5363
2.1786 0.0000 4.6212
0.0000 0.0000 0.0000
2.1786 2.1786 3.0787
2.1786 2.1786 0.0000
0.0000 0.0000 3.0787
0.0000 2.1786 4.6000
2.1786 0.0000 1.5575
```

Most intense lines, 2θ = 10–90°, sorted by position:
two_theta, I/Imax
25.04, 64
41.46, 100
49.04, 32
60.07, 17
66.11, 13
75.62, 34
81.12, 10

[14]
Calculated powder diffraction line list
Compound: GaGeMo
Radiation: Cu Kα X-rays
Structure: a PBE-relaxed structure
Kinematic intensities with the Lorentz-polarization factor, no thermal factor.

Crystal structure
```
GaGeMo
1.0
0.0000 2.9916 2.9916
2.9916 0.0000 2.9916
2.9916 2.9916 0.0000
Ga Ge Mo
1 1 1
Cartesian
0.0000 0.0000 0.0000
1.4958 1.4958 1.4958
2.9916 2.9916 2.9916
```

Most intense lines, 2θ = 10–90°, sorted by position:
two_theta, I/Imax
25.79, 27
29.87, 21
42.75, 100
50.60, 12
53.02, 5
62.05, 16
68.34, 5
70.37, 6
78.28, 32
84.06, 4

[15]
Calculated powder diffraction line list
Compound: GaGeMo6
Radiation: Cu Kα X-rays
Structure: a PBE-relaxed structure
Kinematic intensities with the Lorentz-polarization factor, no thermal factor.

Crystal structure
```
GaGeMo6
1.0
4.9690 0.0000 0.0000
0.0000 4.9690 0.0000
0.0000 0.0000 4.9690
Ga Ge Mo
1 1 6
Cartesian
0.0000 0.0000 0.0000
2.4845 2.4845 2.4845
0.0000 2.4845 1.2426
0.0000 2.4845 3.7264
1.2426 0.0000 2.4845
2.4845 1.2426 0.0000
2.4845 3.7264 0.0000
3.7264 0.0000 2.4845
```

Most intense lines, 2θ = 10–90°, sorted by position:
two_theta, I/Imax
25.35, 3
36.15, 27
40.60, 100
44.67, 59
65.02, 10
68.03, 21
70.97, 29
76.72, 13
87.87, 8